[1]
For K2Sn2Hg3S8, a structure optimized by DFT (PBE) gives the theoretical XRD peak list in this record (Cu Kα (weighted mean of Kα1 and Kα2)).
Neutral-atom scattering factors, no anomalous dispersion.

Crystal structure
```
data_K2Sn2Hg3S8
_chemical_formula_sum 'K8 Sn8 Hg12 S32'
_symmetry_space_group_name_H-M 'A e a 2'
_symmetry_Int_Tables_number 41
_cell_length_a 20.0460
_cell_length_b 10.0296
_cell_length_c 8.9190
_cell_angle_alpha 90.00
_cell_angle_beta 90.00
_cell_angle_gamma 90.00
loop_
_symmetry_equiv_pos_as_xyz
'x,y,z'
'-x,-y,z'
'-x+1/2,y+1/2,z'
'x+1/2,-y+1/2,z'
'x,y+1/2,z+1/2'
'-x,-y+1/2,z+1/2'
'-x+1/2,y,z+1/2'
'x+1/2,-y,z+1/2'
loop_
_atom_site_label
_atom_site_type_symbol
_atom_site_fract_x
_atom_site_fract_y
_atom_site_fract_z
K1 K 0.1177 0.2062 0.0000
Sn1 Sn 0.1360 0.2133 0.5087
Hg1 Hg 0.0000 0.0000 0.3622
Hg2 Hg 0.2470 0.4604 0.1990
S1 S 0.0329 0.2276 0.3589
S2 S 0.1281 0.0122 0.6611
S3 S 0.1330 0.4145 0.6627
S4 S 0.2329 0.2126 0.3551
```

Most intense lines, 10 to 90 degrees two-theta, sorted by position:
d = 6.324 Å, 14.00°, intensity 48; d = 4.074 Å, 21.81°, intensity 51; d = 3.545 Å, 25.12°, intensity 52; d = 3.332 Å, 26.76°, intensity 100; d = 3.162 Å, 28.22°, intensity 48; d = 2.506 Å, 35.83°, intensity 43

[2]
For PdF2, a structure optimized by DFT (PBE) gives the theoretical XRD peak list in this record (Cu Kα (weighted mean of Kα1 and Kα2)).
Neutral-atom scattering factors, no anomalous dispersion.

Crystal structure
```
data_PdF2
_chemical_formula_sum 'Pd4 F8'
_symmetry_space_group_name_H-M 'P a -3'
_symmetry_Int_Tables_number 205
_symmetry_space_group_name_Hall '-P 2ac 2ab 3'
_cell_length_a 5.3699
_cell_length_b 5.3699
_cell_length_c 5.3699
_cell_angle_alpha 90.00
_cell_angle_beta 90.00
_cell_angle_gamma 90.00
loop_
_atom_site_label
_atom_site_type_symbol
_atom_site_fract_x
_atom_site_fract_y
_atom_site_fract_z
Pd1 Pd 0.0000 0.0000 0.0000
F1 F 0.1572 0.6572 0.8428
```

Most intense lines, 10 to 90 degrees two-theta, sorted by position:
d = 3.100 Å, 28.80°, intensity 100; d = 2.685 Å, 33.37°, intensity 42; d = 1.899 Å, 47.91°, intensity 45; d = 1.619 Å, 56.87°, intensity 58; d = 1.232 Å, 77.48°, intensity 14; d = 1.201 Å, 79.89°, intensity 20

[3]
For Ga2C3N6, a structure optimized by DFT (PBE) gives the theoretical XRD peak list in this record (Cu Kα (weighted mean of Kα1 and Kα2)).
Neutral-atom scattering factors, no anomalous dispersion.

Crystal structure
```
data_Ga2C3N6
_chemical_formula_sum 'Ga4 C6 N12'
_symmetry_space_group_name_H-M 'C 1 2/m 1'
_symmetry_Int_Tables_number 12
_cell_length_a 20.6753
_cell_length_b 3.0622
_cell_length_c 5.0396
_cell_angle_alpha 90.00
_cell_angle_beta 101.90
_cell_angle_gamma 90.00
loop_
_symmetry_equiv_pos_as_xyz
'x,y,z'
'-x,-y,-z'
'-x,y,-z'
'x,-y,z'
'x+1/2,y+1/2,z'
'-x+1/2,-y+1/2,-z'
'-x+1/2,y+1/2,-z'
'x+1/2,-y+1/2,z'
loop_
_atom_site_label
_atom_site_type_symbol
_atom_site_fract_x
_atom_site_fract_y
_atom_site_fract_z
Ga1 Ga 0.1411 0.0000 0.0006
C1 C 0.0000 0.0000 0.0000
C2 C 0.1648 0.5000 0.5257
N1 N 0.0492 0.0000 0.9007
N2 N 0.1643 0.5000 0.2813
N3 N 0.1677 0.5000 0.7726
```

Most intense lines, 10 to 90 degrees two-theta, sorted by position:
d = 5.058 Å, 17.53°, intensity 100; d = 4.931 Å, 17.99°, intensity 94; d = 3.963 Å, 22.44°, intensity 28; d = 3.372 Å, 26.43°, intensity 43; d = 2.546 Å, 35.25°, intensity 31; d = 2.521 Å, 35.61°, intensity 28

[4]
For Ca3UO6, a structure optimized by DFT (PBE) gives the theoretical XRD peak list in this record (Cu Kα (weighted mean of Kα1 and Kα2)).
Neutral-atom scattering factors, no anomalous dispersion.

Crystal structure
```
data_Ca3UO6
_chemical_formula_sum 'Ca18 U6 O36'
_symmetry_space_group_name_H-M 'R -3'
_symmetry_Int_Tables_number 148
_symmetry_space_group_name_Hall '-R 3'
_cell_length_a 9.7009
_cell_length_b 9.7009
_cell_length_c 11.5009
_cell_angle_alpha 90.00
_cell_angle_beta 90.00
_cell_angle_gamma 120.00
loop_
_atom_site_label
_atom_site_type_symbol
_atom_site_fract_x
_atom_site_fract_y
_atom_site_fract_z
Ca1 Ca 0.0384 0.2670 0.2112
U1 U 0.0000 0.0000 0.0000
U2 U 0.0000 0.0000 0.5000
O1 O 0.0263 0.1810 0.8869
O2 O 0.0309 0.1991 0.4055
```

Most intense lines, 10 to 90 degrees two-theta, sorted by position:
d = 4.850 Å, 18.29°, intensity 92; d = 4.745 Å, 18.70°, intensity 100; d = 3.392 Å, 26.27°, intensity 74; d = 2.780 Å, 32.20°, intensity 76; d = 2.160 Å, 41.83°, intensity 34; d = 2.131 Å, 42.41°, intensity 45

[5]
For H6PbCI3N, a structure optimized by DFT (PBE) gives the theoretical XRD peak list in this record (Cu Kα (weighted mean of Kα1 and Kα2)).
Neutral-atom scattering factors, no anomalous dispersion.

Crystal structure
```
data_H6PbCI3N
_chemical_formula_sum 'H24 Pb4 C4 I12 N4'
_symmetry_space_group_name_H-M 'P 1'
_symmetry_Int_Tables_number 1
_cell_length_a 9.1366
_cell_length_b 9.1509
_cell_length_c 13.0060
_cell_angle_alpha 90.05
_cell_angle_beta 90.07
_cell_angle_gamma 90.13
loop_
_symmetry_equiv_pos_as_xyz
'x,y,z'
loop_
_atom_site_label
_atom_site_type_symbol
_atom_site_fract_x
_atom_site_fract_y
_atom_site_fract_z
H1 H 0.0000 0.0000 0.0000
H2 H 0.0009 0.0114 0.4992
H3 H 0.2780 0.5260 0.4954
H4 H 0.2831 0.5545 0.1666
H5 H 0.3119 0.4563 0.9951
H6 H 0.3223 0.6200 0.6682
H7 H 0.3435 0.4392 0.6678
H8 H 0.3622 0.6454 0.9967
H9 H 0.4183 0.4358 0.1677
H10 H 0.4421 0.6337 0.4968
H11 H 0.4513 0.4366 0.4993
H12 H 0.4572 0.6148 0.1707
H13 H 0.4904 0.5456 0.6698
H14 H 0.5014 0.5060 0.9992
H15 H 0.7833 0.0513 0.6683
H16 H 0.7857 0.0640 0.1683
H17 H 0.8078 0.9602 0.9958
H18 H 0.8123 0.9565 0.4957
H19 H 0.8579 0.1465 0.4986
H20 H 0.8674 0.1459 0.9974
H21 H 0.9185 0.9355 0.1701
H22 H 0.9205 0.9354 0.6684
H23 H 0.9563 0.1148 0.6720
H24 H 0.9606 0.1116 0.1698
Pb1 Pb 0.3849 0.0355 0.2887
Pb2 Pb 0.3889 0.0349 0.7886
Pb3 Pb 0.8841 0.5350 0.7886
Pb4 Pb 0.8866 0.5343 0.2886
C1 C 0.3902 0.5333 0.5243
C2 C 0.3912 0.5364 0.0241
C3 C 0.8901 0.0378 0.5250
C4 C 0.8912 0.0355 0.0249
I1 I 0.1065 0.8114 0.2937
I2 I 0.1098 0.2587 0.7935
I3 I 0.1625 0.3122 0.2931
I4 I 0.1639 0.7581 0.7932
I5 I 0.3864 0.0355 0.0377
I6 I 0.3866 0.0355 0.5377
I7 I 0.6082 0.3138 0.7937
I8 I 0.6081 0.7579 0.2940
I9 I 0.6621 0.2559 0.2934
I10 I 0.6641 0.8130 0.7941
I11 I 0.8859 0.5356 0.5376
I12 I 0.8869 0.5354 0.0376
N1 N 0.3867 0.5348 0.6386
N2 N 0.3872 0.5355 0.1384
N3 N 0.8873 0.0348 0.6395
N4 N 0.8881 0.0360 0.1393
```

Most intense lines, 10 to 90 degrees two-theta, sorted by position:
d = 6.480 Å, 13.67°, intensity 100; d = 3.233 Å, 27.59°, intensity 53; d = 2.903 Å, 30.80°, intensity 34; d = 2.892 Å, 30.92°, intensity 34; d = 2.293 Å, 39.30°, intensity 37; d = 2.160 Å, 41.82°, intensity 27